Starting from a crystal structure in OQMD, relaxed with GGA-PBE, the powder diffractogram of CuTc2Hg2 was computed for Cu Kα.

Main lines, sorted by position (2θ = 5–70°):
| Position (°2θ) | Rel. int. |
| --- | --- |
| 22.40 | 379 |
| 35.57 | 458 |
| 36.76 | 1000 |
| 39.80 | 200 |
| 44.05 | 615 |
| 44.94 | 500 |

Structure:
```
data_CuTc2Hg2
_symmetry_space_group_name_H-M 'F d d 2'
_symmetry_Int_Tables_number 43
_symmetry_space_group_name_Hall 'F 2 -2d'
_cell_length_a 10.095
_cell_length_b 15.205
_cell_length_c 4.502
_cell_angle_alpha 90.00
_cell_angle_beta 90.00
_cell_angle_gamma 90.00
loop_
_atom_site_label
_atom_site_fract_x
_atom_site_fract_y
_atom_site_fract_z
Cu1 0.000 0.000 0.000
Tc1 0.013 0.286 0.516
Hg1 0.024 0.405 0.004
```